Starting from a structure optimized by DFT (GGA+U), the powder diffraction line list of BaNdCo2O6 was computed for Cu Kα.
Intensities are scaled so that the largest is 100.

The 10 most intense peaks (2θ from 5° to 70°), sorted by position:
2θ = 23.1°, intensity 11, (1 0 0)
2θ = 32.4°, intensity 100, (1 0 2)
2θ = 32.8°, intensity 48, (1 1 0)
2θ = 40.1°, intensity 25, (1 1 2)
2θ = 45.7°, intensity 16, (0 0 4)
2θ = 47.1°, intensity 31, (2 0 0)
2θ = 57.4°, intensity 21, (1 1 4)
2θ = 58.3°, intensity 37, (2 1 2)
2θ = 67.7°, intensity 18, (2 0 4)
2θ = 68.8°, intensity 9, (2 2 0)

Structural model:
```
10
Lattice="3.857 0.000 0.000 0.000 3.857 0.000 0.000 0.000 7.942" Properties=species:S:1:pos:R:3 pbc="T T T"
Ba 0.000 0.000 0.000
Nd 0.000 0.000 3.971
Co 1.929 1.929 2.000
Co 1.929 1.929 5.942
O 0.000 1.929 2.209
O 0.000 1.929 5.733
O 1.929 0.000 2.209
O 1.929 0.000 5.733
O 1.929 1.929 0.000
O 1.929 1.929 3.971
```